Calculated XRD peak list of TbY8Th4 for Cu Kα, 1.54184 Å, from a structure optimized by DFT (PBE).

Structural model:
Cell lengths 7.4006, 7.4006, 26.8942 Å; angles 90.00, 90.00, 120.00 degrees
Space group R-3m (No. 166, hexagonal axes)
Unique sites:
1 Tb 0.0000 0.0000 0.0000 (multiplicity 3)
2 Y 0.0000 0.0000 0.2799 (multiplicity 6)
3 Y 0.0379 0.5190 0.2688 (multiplicity 18)
4 Th 0.0000 0.0000 0.5000 (multiplicity 3)
5 Th 0.0000 0.5000 0.5000 (multiplicity 9)

Top 12 peaks for 2θ from 10° to 90°, in order of rising 2θ:
2θ/deg  I (rel.)  index
28.0  33  0 2 1
29.9  26  0 0 9
30.9  100  0 2 4
32.5  44  2 0 5
38.8  38  2 0 8
44.0  12  0 2 10
49.3  29  2 2 0
52.7  16  0 2 13
55.8  11  2 0 14
58.7  22  2 2 9
59.3  15  4 0 4
80.6  11  2 4 4